KH4F5: computed XRD peak list (CuKα), based on a DFT-relaxed cell (GGA-PBE, the Materials Project).
Intensities are scaled so that the largest is 100.

The 10 most intense peaks (10° ≤ 2θ ≤ 90°), by angle:
Position (°2θ), intensity
24.32, 47
30.25, 81
32.03, 75
37.13, 23
38.03, 39
44.88, 100
49.83, 16
50.54, 14
66.16, 24
70.06, 14

Atomic structure:
a b c (Å): 7.396 7.396 7.396
angles (deg): 124.83 124.83 81.82
Positions (direct):
K1 0.375 0.125 0.250
K2 0.625 0.875 0.750
H1 0.037 0.574 0.858
H2 0.074 0.716 0.537
H3 0.216 0.179 0.642
H4 0.321 0.463 0.037
H5 0.679 0.537 0.963
H6 0.784 0.821 0.358
H7 0.926 0.284 0.463
H8 0.963 0.426 0.142
F1 0.013 0.289 0.066
F2 0.125 0.375 0.750
F3 0.211 0.777 0.725
F4 0.277 0.053 0.566
F5 0.447 0.513 0.225
F6 0.553 0.487 0.775
F7 0.723 0.947 0.434
F8 0.789 0.223 0.275
F9 0.875 0.625 0.250
F10 0.987 0.711 0.934


Cr2CdSe4: computed XRD peak list (CuKα), based on a DFT-relaxed cell (GGA-PBE, the Materials Project).
Intensities are scaled so that the largest is 100.

The 10 most intense peaks (10° ≤ 2θ ≤ 90°), by angle:
Position (°2θ), intensity
23.13, 47
27.19, 55
28.42, 42
32.93, 48
35.99, 18
40.63, 14
43.21, 61
47.27, 100
85.07, 15
87.95, 23

Atomic structure:
a b c (Å): 7.692 7.692 7.692
angles (deg): 60.00 60.00 60.00
Positions (direct):
Cr1 0.000 0.000 0.000
Cr2 0.000 0.000 0.500
Cr3 0.000 0.500 0.000
Cr4 0.500 0.000 0.000
Cd1 0.375 0.375 0.375
Cd2 0.625 0.625 0.625
Se1 0.203 0.766 0.766
Se2 0.234 0.234 0.234
Se3 0.234 0.234 0.797
Se4 0.234 0.797 0.234
Se5 0.766 0.203 0.766
Se6 0.766 0.766 0.203
Se7 0.766 0.766 0.766
Se8 0.797 0.234 0.234


ZrFeSi: computed XRD peak list (CuKα), based on a DFT-relaxed cell (GGA-PBE, the Materials Project).
Intensities are scaled so that the largest is 100.

The 10 most intense peaks (10° ≤ 2θ ≤ 90°), by angle:
Position (°2θ), intensity
25.70, 26
36.92, 68
38.03, 36
38.20, 100
41.17, 25
44.23, 25
45.01, 43
45.46, 39
60.71, 18
73.86, 27

Atomic structure:
a b c (Å): 6.424 3.991 6.999
angles (deg): 90.00 90.00 90.00
Positions (direct):
Zr1 0.005 0.250 0.197
Zr2 0.495 0.750 0.697
Zr3 0.505 0.250 0.303
Zr4 0.995 0.750 0.803
Fe1 0.155 0.750 0.438
Fe2 0.345 0.250 0.938
Fe3 0.655 0.750 0.062
Fe4 0.845 0.250 0.562
Si1 0.209 0.250 0.607
Si2 0.291 0.750 0.107
Si3 0.709 0.250 0.893
Si4 0.791 0.750 0.393


LaOs2Rh: computed XRD peak list (CuKα), based on a DFT-relaxed cell (GGA-PBE, the Materials Project).
Intensities are scaled so that the largest is 100.

The 9 most intense peaks (10° ≤ 2θ ≤ 90°), by angle:
Position (°2θ), intensity
23.34, 1
27.01, 5
38.57, 100
47.72, 2
55.68, 17
62.95, 2
69.78, 35
82.67, 11
88.94, 1

Atomic structure:
a b c (Å): 4.669 4.669 4.669
angles (deg): 60.00 60.00 60.00
Positions (direct):
La1 0.000 0.000 0.000
Os1 0.250 0.250 0.250
Os2 0.750 0.750 0.750
Rh1 0.500 0.500 0.500


La8Al7BO24: computed XRD peak list (CuKα), based on a DFT-relaxed cell (GGA-PBE, the Materials Project).
Intensities are scaled so that the largest is 100.

The 10 most intense peaks (10° ≤ 2θ ≤ 90°), by angle:
Position (°2θ), intensity
23.49, 51
33.46, 100
41.29, 45
48.04, 36
54.15, 23
59.81, 39
70.30, 21
75.27, 11
80.13, 17
84.92, 14

Atomic structure:
a b c (Å): 7.575 7.575 7.575
angles (deg): 90.00 90.00 90.00
Positions (direct):
La1 0.247 0.247 0.247
La2 0.247 0.247 0.753
La3 0.247 0.753 0.247
La4 0.247 0.753 0.753
La5 0.753 0.247 0.247
La6 0.753 0.247 0.753
La7 0.753 0.753 0.247
La8 0.753 0.753 0.753
Al1 0.000 0.000 0.500
Al2 0.000 0.500 0.000
Al3 0.000 0.500 0.500
Al4 0.500 0.000 0.000
Al5 0.500 0.000 0.500
Al6 0.500 0.500 0.000
Al7 0.500 0.500 0.500
B1 0.000 0.000 0.000
O1 0.000 0.000 0.237
O2 0.000 0.000 0.763
O3 0.000 0.237 0.000
O4 0.000 0.248 0.500
O5 0.000 0.500 0.248
O6 0.000 0.500 0.752
O7 0.000 0.752 0.500
O8 0.000 0.763 0.000
O9 0.237 0.000 0.000
O10 0.248 0.000 0.500
O11 0.248 0.500 0.000
O12 0.249 0.500 0.500
O13 0.500 0.000 0.248
O14 0.500 0.000 0.752
O15 0.500 0.248 0.000
O16 0.500 0.249 0.500
O17 0.500 0.500 0.249
O18 0.500 0.500 0.751
O19 0.500 0.751 0.500
O20 0.500 0.752 0.000
O21 0.751 0.500 0.500
O22 0.752 0.000 0.500
O23 0.752 0.500 0.000
O24 0.763 0.000 0.000


CaGe2O5: computed XRD peak list (CuKα), based on a DFT-relaxed cell (GGA-PBE, the Materials Project).
Intensities are scaled so that the largest is 100.

The 10 most intense peaks (10° ≤ 2θ ≤ 90°), by angle:
Position (°2θ), intensity
15.92, 29
23.91, 48
28.88, 73
30.46, 100
34.27, 66
34.87, 77
45.14, 31
53.94, 58
58.95, 29
59.09, 35

Atomic structure:
a b c (Å): 7.445 8.384 5.804
angles (deg): 90.00 90.00 90.00
Positions (direct):
Ca1 0.137 0.166 0.000
Ca2 0.363 0.666 0.000
Ca3 0.637 0.334 0.000
Ca4 0.863 0.834 0.000
Ge1 0.000 0.500 0.247
Ge2 0.000 0.500 0.753
Ge3 0.109 0.854 0.500
Ge4 0.391 0.354 0.500
Ge5 0.500 0.000 0.247
Ge6 0.500 0.000 0.753
Ge7 0.609 0.646 0.500
Ge8 0.891 0.146 0.500
O1 0.000 0.000 0.291
O2 0.000 0.000 0.709
O3 0.106 0.708 0.259
O4 0.106 0.708 0.741
O5 0.156 0.427 0.500
O6 0.157 0.445 0.000
O7 0.343 0.945 0.000
O8 0.344 0.927 0.500
O9 0.394 0.208 0.259
O10 0.394 0.208 0.741
O11 0.500 0.500 0.291
O12 0.500 0.500 0.709
O13 0.606 0.792 0.259
O14 0.606 0.792 0.741
O15 0.656 0.073 0.500
O16 0.657 0.055 0.000
O17 0.843 0.555 0.000
O18 0.844 0.573 0.500
O19 0.894 0.292 0.259
O20 0.894 0.292 0.741


LiEr2Rh: computed XRD peak list (CuKα), based on a DFT-relaxed cell (GGA-PBE, the Materials Project).
Intensities are scaled so that the largest is 100.

The 10 most intense peaks (10° ≤ 2θ ≤ 90°), by angle:
Position (°2θ), intensity
22.24, 13
25.74, 31
36.72, 100
43.35, 6
45.38, 9
52.90, 18
59.73, 12
66.12, 36
78.09, 11
89.54, 16

Atomic structure:
a b c (Å): 4.895 4.895 4.895
angles (deg): 60.00 60.00 60.00
Positions (direct):
Li1 0.000 0.000 0.000
Er1 0.250 0.250 0.250
Er2 0.750 0.750 0.750
Rh1 0.500 0.500 0.500


Sc2Nb3Ge3: computed XRD peak list (CuKα), based on a DFT-relaxed cell (GGA-PBE, the Materials Project).
Intensities are scaled so that the largest is 100.

The 10 most intense peaks (10° ≤ 2θ ≤ 90°), by angle:
Position (°2θ), intensity
12.99, 44
34.78, 18
35.53, 14
38.64, 52
38.82, 22
39.53, 23
39.79, 47
40.30, 100
57.78, 13
62.60, 13

Atomic structure:
a b c (Å): 5.443 7.880 7.880
angles (deg): 120.41 90.00 90.00
Positions (direct):
Sc1 0.000 0.000 0.000
Sc2 0.000 0.248 0.501
Sc3 0.000 0.501 0.248
Sc4 0.500 0.500 0.500
Nb1 0.249 0.582 0.916
Nb2 0.249 0.916 0.582
Nb3 0.500 0.247 0.984
Nb4 0.500 0.984 0.247
Nb5 0.751 0.582 0.916
Nb6 0.751 0.916 0.582
Ge1 0.000 0.248 0.857
Ge2 0.000 0.640 0.640
Ge3 0.000 0.857 0.248
Ge4 0.500 0.248 0.637
Ge5 0.500 0.637 0.248
Ge6 0.500 0.861 0.861


Cs3GeSe3: computed XRD peak list (CuKα), based on a DFT-relaxed cell (GGA-PBE, the Materials Project).
Intensities are scaled so that the largest is 100.

The 10 most intense peaks (10° ≤ 2θ ≤ 90°), by angle:
Position (°2θ), intensity
25.20, 32
26.50, 23
26.78, 26
27.44, 100
27.92, 42
28.05, 65
28.43, 40
29.77, 30
32.82, 22
41.71, 18

Atomic structure:
a b c (Å): 10.790 10.790 9.846
angles (deg): 94.76 94.76 80.03
Positions (direct):
Cs1 0.079 0.921 0.750
Cs2 0.200 0.607 0.373
Cs3 0.201 0.248 0.694
Cs4 0.248 0.201 0.194
Cs5 0.393 0.800 0.127
Cs6 0.409 0.591 0.750
Cs7 0.591 0.409 0.250
Cs8 0.607 0.200 0.873
Cs9 0.752 0.799 0.806
Cs10 0.799 0.752 0.306
Cs11 0.800 0.393 0.627
Cs12 0.921 0.079 0.250
Ge1 0.078 0.565 0.961
Ge2 0.435 0.922 0.539
Ge3 0.565 0.078 0.461
Ge4 0.922 0.435 0.039
Se1 0.042 0.774 0.071
Se2 0.054 0.580 0.716
Se3 0.226 0.958 0.429
Se4 0.291 0.466 0.028
Se5 0.420 0.946 0.784
Se6 0.466 0.291 0.528
Se7 0.534 0.709 0.472
Se8 0.580 0.054 0.216
Se9 0.709 0.534 0.972
Se10 0.774 0.042 0.571
Se11 0.946 0.420 0.284
Se12 0.958 0.226 0.929